(1)
Theoretical powder diffractogram of TaAgO4 for λ = 1.5418 Å (Cu Kα), from DFT lattice parameters and positions (PBE).

Most intense lines, 2θ from 10° to 90°, by angle:
2θ/deg  d [Å]  Rel. int.  h k l
30.2  2.963  100  1 0 1
35.9  2.498  19  1 1 0
49.5  1.840  35  1 1 2
51.7  1.767  16  2 0 0
57.1  1.613  16  1 0 3
61.1  1.517  26  2 1 1

Structural model:
a b c (Å): 3.533 3.533 5.439
angles (deg): 90.00 90.00 90.00
Space group P4/mmm (No. 123)
Symmetry-distinct sites (fractional):
Ta1 0.000 0.000 0.000 [1 per cell]
Ag1 0.500 0.500 0.500 [1 per cell]
O1 0.000 0.500 0.216 [4 per cell]

(2)
Theoretical powder diffractogram of Ta3AgO8 for λ = 1.5418 Å (Cu Kα), from DFT lattice parameters and positions (PBE).

Most intense lines, 2θ from 10° to 90°, by angle:
2θ/deg  d [Å]  Rel. int.  h k l
29.5  3.027  100  2 2 0
30.5  2.928  89  0 2 2
33.8  2.653  26  0 4 0
35.3  2.542  51  2 0 2
49.7  1.835  51  2 4 2
59.3  1.559  31  4 2 2

Structural model:
a b c (Å): 7.370 10.612 7.022
angles (deg): 90.00 90.00 90.00
Space group Ibam (No. 72)
Symmetry-distinct sites (fractional):
Ta1 0.000 0.000 0.250 [4 per cell]
Ta2 0.242 0.233 0.000 [8 per cell]
Ag1 0.000 0.500 0.250 [4 per cell]
O1 0.006 0.324 0.500 [8 per cell]
O2 0.119 0.066 0.000 [8 per cell]
O3 0.189 0.146 0.296 [16 per cell]

(3)
Theoretical powder diffractogram of Ta3AgO8 for λ = 1.5418 Å (Cu Kα), from DFT lattice parameters and positions (PBE).

Most intense lines, 2θ from 10° to 90°, by angle:
2θ/deg  d [Å]  Rel. int.  h k l
23.4  3.801  28  0 0 4
29.0  3.079  100  2 1 -2
34.2  2.624  18  0 2 0
34.4  2.611  22  2 1 2
51.0  1.791  26  2 2 -6
61.1  1.516  15  2 2 6

Structural model:
a b c (Å): 7.774 5.248 15.878
angles (deg): 90.00 107.00 90.00
Space group P2_1/c (No. 14)
Symmetry-distinct sites (fractional):
Ta1 0.002 0.235 0.166 [4 per cell]
Ta2 0.259 0.239 0.417 [4 per cell]
Ta3 0.492 0.241 0.166 [4 per cell]
Ag1 0.229 0.740 0.077 [4 per cell]
O1 0.025 0.045 0.401 [4 per cell]
O2 0.075 0.092 0.781 [4 per cell]
O3 0.144 0.545 0.441 [4 per cell]
O4 0.229 0.146 0.157 [4 per cell]
O5 0.289 0.587 0.845 [4 per cell]
O6 0.367 0.147 0.535 [4 per cell]
O7 0.438 0.559 0.225 [4 per cell]
O8 0.449 0.076 0.890 [4 per cell]

(4)
Theoretical powder diffractogram of TbTa5Ag2O15 for λ = 1.5418 Å (Cu Kα), from DFT lattice parameters and positions (PBE).

Most intense lines, 2θ from 10° to 90°, by angle:
2θ/deg  d [Å]  Rel. int.  h k l
25.5  3.494  45  3 2 0
27.7  3.219  53  2 1 1
29.2  3.056  63  4 1 0
31.8  2.817  44  4 2 0
32.0  2.795  100  3 1 1
56.7  1.622  40  5 5 1

Structural model:
a b c (Å): 12.599 12.599 3.923
angles (deg): 90.00 90.00 90.00
Space group P4/mbm (No. 127)
Symmetry-distinct sites (fractional):
Tb1 0.000 0.000 0.000 [2 per cell]
Ta1 0.000 0.500 0.500 [2 per cell]
Ta2 0.080 0.210 0.500 [8 per cell]
Ag1 0.163 0.663 0.000 [4 per cell]
O1 0.000 0.500 0.000 [2 per cell]
O2 0.001 0.659 0.500 [8 per cell]
O3 0.058 0.870 0.500 [8 per cell]
O4 0.079 0.188 0.000 [8 per cell]
O5 0.223 0.277 0.500 [4 per cell]

(5)
Theoretical powder diffractogram of YbTa5Ag2O15 for λ = 1.5418 Å (Cu Kα), from DFT lattice parameters and positions (PBE).

Most intense lines, 2θ from 10° to 90°, by angle:
2θ/deg  d [Å]  Rel. int.  h k l
25.5  3.497  44  3 2 0
27.7  3.224  51  2 1 1
29.2  3.058  59  4 1 0
31.7  2.819  44  4 2 0
32.0  2.799  100  3 1 1
56.7  1.624  39  5 5 1

Structural model:
a b c (Å): 12.608 12.608 3.929
angles (deg): 90.00 90.00 90.00
Space group P4/mbm (No. 127)
Symmetry-distinct sites (fractional):
Yb1 0.000 0.000 0.000 [2 per cell]
Ta1 0.000 0.500 0.500 [2 per cell]
Ta2 0.080 0.210 0.500 [8 per cell]
Ag1 0.162 0.662 0.000 [4 per cell]
O1 0.000 0.500 0.000 [2 per cell]
O2 0.001 0.659 0.500 [8 per cell]
O3 0.059 0.868 0.500 [8 per cell]
O4 0.079 0.191 0.000 [8 per cell]
O5 0.223 0.277 0.500 [4 per cell]

(6)
Theoretical powder diffractogram of TbTc2AgO8 for λ = 1.5418 Å (Cu Kα), from DFT lattice parameters and positions (PBE).

Most intense lines, 2θ from 10° to 90°, by angle:
2θ/deg  d [Å]  Rel. int.  h k l
16.9  5.240  47  1 0 0
21.6  4.112  87  0 1 1
29.5  3.026  100  1 1 0
31.9  2.803  81  1 0 2
44.0  2.056  48  0 2 2
53.9  1.701  36  2 1 2

Structural model:
a b c (Å): 6.0511 6.0511 6.6348
angles (deg): 90.00 90.00 120.00
Space group P-3m1 (No. 164)
Symmetry-distinct sites (fractional):
Tb1 0.0000 0.0000 0.0000 [1 per cell]
Tc1 0.3333 0.6667 0.2981 [2 per cell]
Ag1 0.0000 0.0000 0.5000 [1 per cell]
O1 0.1700 0.3400 0.2116 [6 per cell]
O2 0.3333 0.6667 0.5596 [2 per cell]

(7)
Theoretical powder diffractogram of Tb2AgTeO6 for λ = 1.5418 Å (Cu Kα), from DFT lattice parameters and positions (PBE).

Most intense lines, 2θ from 10° to 90°, by angle:
2θ/deg  d [Å]  Rel. int.  h k l
29.1  3.068  98  1 0 4
30.8  2.904  100  1 1 0
42.9  2.109  38  0 2 4
47.1  1.929  28  2 -1 6
53.7  1.706  38  3 -1 4
54.8  1.677  29  3 0 0

Structural model:
a b c (Å): 5.8078 5.8078 15.4831
angles (deg): 90.00 90.00 120.00
Space group R3 (No. 146, hexagonal axes)
Symmetry-distinct sites (fractional):
Tb1 0.0000 0.0000 0.0000 [3 per cell]
Tb2 0.0000 0.0000 0.4870 [3 per cell]
Ag1 0.0000 0.0000 0.2304 [3 per cell]
Te1 0.0000 0.0000 0.6920 [3 per cell]
O1 0.0095 0.3574 0.4222 [9 per cell]
O2 0.0299 0.7471 0.6030 [9 per cell]

(8)
Theoretical powder diffractogram of TcAg2O5 for λ = 1.5418 Å (Cu Kα), from DFT lattice parameters and positions (PBE).

Most intense lines, 2θ from 10° to 90°, by angle:
2θ/deg  d [Å]  Rel. int.  h k l
23.2  3.840  48  3 1 -2
24.0  3.707  76  0 2 1
24.9  3.582  71  4 0 -2
28.3  3.151  100  2 0 2
28.6  3.122  48  3 1 -3
29.3  3.049  71  0 2 2

Structural model:
a b c (Å): 14.825 8.086 10.525
angles (deg): 90.00 118.06 90.00
Space group C2/c (No. 15)
Symmetry-distinct sites (fractional):
Tc1 0.172 0.047 0.303 [8 per cell]
Ag1 0.048 0.302 0.497 [8 per cell]
Ag2 0.129 0.427 0.830 [8 per cell]
O1 0.004 0.455 0.879 [8 per cell]
O2 0.080 0.064 0.655 [8 per cell]
O3 0.114 0.203 0.356 [8 per cell]
O4 0.237 0.086 0.949 [8 per cell]
O5 0.240 0.363 0.745 [8 per cell]

(9)
Theoretical powder diffractogram of Tc4AgO12 for λ = 1.5418 Å (Cu Kα), from DFT lattice parameters and positions (PBE).

Most intense lines, 2θ from 10° to 90°, by angle:
2θ/deg  d [Å]  Rel. int.  h k l
23.3  3.814  38  0 0 2
23.6  3.768  75  2 0 0
33.4  2.680  100  2 0 2
33.6  2.664  44  2 2 0
48.3  1.884  37  4 0 0
60.0  1.541  41  4 2 2

Structural model:
a b c (Å): 7.535 7.535 7.627
angles (deg): 90.00 90.00 90.00
Space group I4/mmm (No. 139)
Symmetry-distinct sites (fractional):
Tc1 0.250 0.250 0.250 [8 per cell]
Ag1 0.000 0.000 0.000 [2 per cell]
O1 0.000 0.252 0.283 [16 per cell]
O2 0.210 0.210 0.000 [8 per cell]

Question: Which formula does entry 2 have?
Answer: Ta3AgO8